# 1
Diffraction record for Hf4Zr2Si3N3. The X-ray diffraction stick pattern is simulated, not measured: it uses a structure optimized by DFT (GGA-PBE) and Cu Kα.
Intensities are scaled so that the largest is 100.

Crystal structure
```
Hf4Zr2Si3N3
1.0
4.8290 -2.7905 0.0000
4.8290 2.7905 0.0000
-3.2305 0.0000 13.4201
Hf Zr Si N
8 4 6 6
direct
0.0294 0.1998 0.0936
0.1381 0.3018 0.4063
0.1998 0.0294 0.5936
0.3018 0.1381 0.9063
0.6982 0.8619 0.0937
0.8002 0.9706 0.4064
0.8619 0.6982 0.5937
0.9706 0.8002 0.9064
0.3688 0.5334 0.1003
0.4666 0.6312 0.3997
0.5334 0.3688 0.6003
0.6312 0.4666 0.8997
0.0626 0.9374 0.2500
0.2294 0.4189 0.7497
0.4189 0.2294 0.2497
0.5811 0.7706 0.7503
0.7706 0.5811 0.2503
0.9374 0.0626 0.7500
0.0000 0.5000 0.0000
0.1594 0.6701 0.5000
0.3299 0.8406 0.0000
0.5000 0.0000 0.5000
0.6701 0.1594 0.0000
0.8406 0.3299 0.5000
```

Peak list (10 most intense, 10° ≤ 2θ ≤ 90°, by angle)
13.19 deg, 6.710 Å, rel. 25
26.57 deg, 3.355 Å, rel. 17
32.09 deg, 2.789 Å, rel. 23
32.79 deg, 2.731 Å, rel. 28
38.02 deg, 2.367 Å, rel. 100
40.33 deg, 2.237 Å, rel. 15
57.20 deg, 1.610 Å, rel. 23
58.41 deg, 1.580 Å, rel. 15
70.76 deg, 1.331 Å, rel. 16
72.30 deg, 1.307 Å, rel. 16



# 2
Diffraction record for GaPt9. The X-ray diffraction stick pattern is simulated, not measured: it uses a structure optimized by DFT (GGA-PBE) and Cu Kα.
Intensities are scaled so that the largest is 100.

Crystal structure
```
GaPt9
1.0
2.7997 0.0000 0.0000
0.0000 3.9261 0.0000
0.0000 0.0000 42.2109
Ga Pt
2 18
direct
0.2500 0.2500 0.1862
0.7500 0.7500 0.8138
0.2500 0.2500 0.2471
0.2500 0.2500 0.3150
0.2500 0.2500 0.3825
0.2500 0.2500 0.4496
0.2500 0.2500 0.5167
0.2500 0.2500 0.5840
0.2500 0.2500 0.6515
0.2500 0.2500 0.7196
0.2500 0.2500 0.7933
0.7500 0.7500 0.2067
0.7500 0.7500 0.2804
0.7500 0.7500 0.3485
0.7500 0.7500 0.4160
0.7500 0.7500 0.4833
0.7500 0.7500 0.5504
0.7500 0.7500 0.6175
0.7500 0.7500 0.6850
0.7500 0.7500 0.7529
```

Peak list (10 most intense, 10° ≤ 2θ ≤ 90°, by angle)
37.61 deg, 2.391 Å, rel. 33
39.40 deg, 2.287 Å, rel. 64
39.55 deg, 2.279 Å, rel. 100
44.14 deg, 2.052 Å, rel. 21
45.71 deg, 1.985 Å, rel. 42
46.26 deg, 1.962 Å, rel. 32
65.85 deg, 1.418 Å, rel. 13
67.06 deg, 1.396 Å, rel. 28
80.43 deg, 1.194 Å, rel. 17
81.08 deg, 1.186 Å, rel. 17



# 3
Diffraction record for RbSmSeO. The X-ray diffraction stick pattern is simulated, not measured: it uses a structure optimized by DFT (GGA-PBE) and Cu Kα.
Intensities are scaled so that the largest is 100.

Crystal structure
```
RbSmSeO
1.0
2.9739 -2.9724 0.0000
2.9739 2.9724 0.0000
-2.8536 0.0000 11.7614
Rb Sm Se O
2 2 2 2
direct
0.2066 0.2066 0.3956
0.7934 0.7934 0.6044
0.5243 0.0656 0.0898
0.9344 0.4757 0.9102
0.3476 0.3474 0.7224
0.6526 0.6524 0.2776
0.4769 0.5231 0.0000
0.9781 0.0219 0.0000
```

Peak list (10 most intense, 10° ≤ 2θ ≤ 90°, by angle)
23.94 deg, 3.717 Å, rel. 41
24.09 deg, 3.694 Å, rel. 40
28.37 deg, 3.146 Å, rel. 63
28.58 deg, 3.124 Å, rel. 87
31.00 deg, 2.885 Å, rel. 100
31.10 deg, 2.876 Å, rel. 25
34.03 deg, 2.634 Å, rel. 61
34.28 deg, 2.616 Å, rel. 43
43.03 deg, 2.102 Å, rel. 77
62.48 deg, 1.487 Å, rel. 23



- Which formula does entry 1 have?
  Hf4Zr2Si3N3



Repeat the second record exactly.
Diffraction record for GaPt9. The X-ray diffraction stick pattern is simulated, not measured: it uses a structure optimized by DFT (GGA-PBE) and Cu Kα.
Intensities are scaled so that the largest is 100.

Crystal structure
```
GaPt9
1.0
2.7997 0.0000 0.0000
0.0000 3.9261 0.0000
0.0000 0.0000 42.2109
Ga Pt
2 18
direct
0.2500 0.2500 0.1862
0.7500 0.7500 0.8138
0.2500 0.2500 0.2471
0.2500 0.2500 0.3150
0.2500 0.2500 0.3825
0.2500 0.2500 0.4496
0.2500 0.2500 0.5167
0.2500 0.2500 0.5840
0.2500 0.2500 0.6515
0.2500 0.2500 0.7196
0.2500 0.2500 0.7933
0.7500 0.7500 0.2067
0.7500 0.7500 0.2804
0.7500 0.7500 0.3485
0.7500 0.7500 0.4160
0.7500 0.7500 0.4833
0.7500 0.7500 0.5504
0.7500 0.7500 0.6175
0.7500 0.7500 0.6850
0.7500 0.7500 0.7529
```

Peak list (10 most intense, 10° ≤ 2θ ≤ 90°, by angle)
37.61 deg, 2.391 Å, rel. 33
39.40 deg, 2.287 Å, rel. 64
39.55 deg, 2.279 Å, rel. 100
44.14 deg, 2.052 Å, rel. 21
45.71 deg, 1.985 Å, rel. 42
46.26 deg, 1.962 Å, rel. 32
65.85 deg, 1.418 Å, rel. 13
67.06 deg, 1.396 Å, rel. 28
80.43 deg, 1.194 Å, rel. 17
81.08 deg, 1.186 Å, rel. 17